AcCSe: calculated powder diffraction line list (Cu Kα (λ = 1.5418 Å)), based on a crystal structure in Alexandria, relaxed with PBE.
Lines closer than 0.1° are merged.

Crystal structure
Lattice parameters (Å, degrees): 4.7313 6.0358 7.7558 67.30 77.22 89.99
Space group P-1 (No. 2)
Unique sites:
Ac: 0.1784 0.1525 0.1969 x2
C: 0.3643 0.9819 0.5356 x2
Se: 0.2132 0.7027 0.0956 x2

Principal peaks in the range 2θ = 10–90°, in order of rising 2θ:
hkl	2θ/deg	d_spacing	I/Imax
0 0 1	12.74	6.946	81
0 1 1	16.01	5.536	83
1 0 1	20.46	4.340	53
1 -1 0	23.96	3.714	39
0 1 -1	24.22	3.674	43
1 0 -1	25.68	3.469	100
1 0 2	28.25	3.159	61
0 2 1	29.60	3.018	69
-1 1 2	34.02	2.635	34
1 1 3	36.70	2.449	42

Ac2SiC: calculated powder diffraction line list (Cu Kα (λ = 1.5418 Å)), based on a crystal structure in Alexandria, relaxed with PBE.
Lines closer than 0.1° are merged.

Crystal structure
Lattice parameters (Å, degrees): 5.2802 5.2802 3.5590 90.00 90.00 90.00
Space group P4/mmm (No. 123)
Unique sites:
Ac: 0.0000 0.5000 0.0000 x2
Si: 0.0000 0.0000 0.5000 x1
C: 0.5000 0.5000 0.5000 x1

Principal peaks in the range 2θ = 10–90°, in order of rising 2θ:
hkl	2θ/deg	d_spacing	I/Imax
1 1 0	23.83	3.734	89
0 0 1	25.02	3.559	40
2 0 0	33.96	2.640	53
1 1 1	34.83	2.576	100
2 0 1	42.64	2.120	41
2 2 0	48.78	1.867	20
3 1 0	54.99	1.670	20
2 2 1	55.59	1.653	19
3 1 1	61.33	1.512	40
2 0 2	62.99	1.476	18

> Which formula does entry 1 have?

AcCSe